Record 1
For Ca14LaNd, the PBE geometry in Alexandria gives the theoretical powder diffraction line list in this record (CuKα).
Kinematic intensities with the Lorentz-polarization factor, no thermal factor.

Crystal structure
a = 7.8035 Å, b = 7.8035 Å, c = 10.8403 Å
α = 90.00°, β = 90.00°, γ = 90.00°
Space group P4/mmm (No. 123)
Inequivalent atoms, fractional coordinates:
Ca 0.0000 0.0000 0.0000 [1 per cell]
Ca 0.0000 0.5000 0.0000 [2 per cell]
Ca 0.0000 0.5000 0.5000 [2 per cell]
Ca 0.2490 0.2490 0.2537 [8 per cell]
Ca 0.5000 0.5000 0.0000 [1 per cell]
La 0.5000 0.5000 0.5000 [1 per cell]
Nd 0.0000 0.0000 0.5000 [1 per cell]

Top 10 peaks for 5° ≤ 2θ ≤ 70°, low angle first:
2θ/deg	d_spacing	intensity	(hkl)
8.2	10.840	20	0 0 1
18.0	4.917	14	1 1 1
28.2	3.167	100	2 0 2
32.5	2.759	34	2 2 0
33.1	2.710	16	0 0 4
46.6	1.951	12	4 0 0
47.0	1.933	23	2 2 4
55.3	1.661	27	4 2 2
56.1	1.639	14	2 0 6
58.3	1.583	11	4 0 4

***

Record 2
For CaLa7Nd4, the PBE geometry in Alexandria gives the theoretical powder diffraction line list in this record (CuKα).
Kinematic intensities with the Lorentz-polarization factor, no thermal factor.

Crystal structure
a = 6.4613 Å, b = 7.4722 Å, c = 9.8790 Å
α = 79.01°, β = 70.93°, γ = 89.95°
Space group P-1 (No. 2)
Inequivalent atoms, fractional coordinates:
Ca 0.0000 0.0000 0.0000 [1 per cell]
La 0.0000 0.5000 0.0000 [1 per cell]
La 0.1703 0.9159 0.3390 [2 per cell]
La 0.3400 0.3385 0.6634 [2 per cell]
La 0.4985 0.7396 0.0004 [2 per cell]
Nd 0.1640 0.4152 0.3338 [2 per cell]
Nd 0.3408 0.8304 0.6627 [2 per cell]

Top 10 peaks for 5° ≤ 2θ ≤ 70°, low angle first:
2θ/deg	d_spacing	intensity	(hkl)
9.7	9.145	2	0 0 1
12.1	7.319	1	0 1 0
14.5	6.093	1	1 0 0
29.3	3.048	100	2 0 2
34.0	2.640	51	2 0 -1
48.8	1.867	36	2 0 5
57.9	1.592	32	2 0 -4
58.0	1.591	11	4 0 1
60.8	1.525	9	0 0 6
60.8	1.523	3	4 0 4

***

Record 3
For Ca3LaNd6, the PBE geometry in Alexandria gives the theoretical powder diffraction line list in this record (CuKα).
Kinematic intensities with the Lorentz-polarization factor, no thermal factor.

Crystal structure
a = 6.7039 Å, b = 6.7039 Å, c = 9.5341 Å
α = 90.00°, β = 90.00°, γ = 120.00°
Space group P-31m (No. 162)
Inequivalent atoms, fractional coordinates:
Ca 0.0000 0.0000 0.0000 [1 per cell]
Ca 0.3333 0.6667 0.0000 [2 per cell]
La 0.0000 0.0000 0.5000 [1 per cell]
Nd 0.0000 0.3943 0.3193 [6 per cell]

Top 10 peaks for 5° ≤ 2θ ≤ 70°, low angle first:
2θ/deg	d_spacing	intensity	(hkl)
9.3	9.534	78	0 0 1
24.2	3.684	25	1 0 2
28.1	3.178	33	0 0 3
28.2	3.162	100	2 -1 1
30.8	2.903	36	2 0 0
32.7	2.742	96	1 1 2
42.3	2.138	23	3 -1 1
46.8	1.942	35	2 -1 4
58.1	1.588	26	0 0 6
60.7	1.526	21	3 1 2

***

Record 4
For CaLa5Nd6, the PBE geometry in Alexandria gives the theoretical powder diffraction line list in this record (CuKα).
Kinematic intensities with the Lorentz-polarization factor, no thermal factor.

Crystal structure
a = 5.2807 Å, b = 10.5138 Å, c = 15.7834 Å
α = 90.00°, β = 90.00°, γ = 90.00°
Space group Immm (No. 71)
Inequivalent atoms, fractional coordinates:
Ca 0.0000 0.0000 0.0000 [2 per cell]
La 0.0000 0.0000 0.3321 [4 per cell]
La 0.0000 0.5000 0.0000 [2 per cell]
La 0.0000 0.5000 0.3283 [4 per cell]
Nd 0.0000 0.2406 0.5000 [4 per cell]
Nd 0.0000 0.2535 0.1684 [8 per cell]

Top 10 peaks for 5° ≤ 2θ ≤ 70°, low angle first:
2θ/deg	d_spacing	intensity	(hkl)
10.1	8.750	3	0 1 1
11.2	7.892	1	0 0 2
29.4	3.040	100	1 2 3
34.0	2.640	17	2 0 0
34.1	2.630	34	0 0 6
48.9	1.863	24	2 0 6
49.0	1.859	12	0 4 6
58.0	1.591	15	3 2 3
58.2	1.586	28	1 2 9
60.9	1.520	12	2 4 6